Diffraction record for Ca4Al6CrO16. The PXRD pattern is simulated, not measured: it uses a PBE+U-relaxed structure and Cu Kα, 1.54184 Å.

Most intense lines, 2θ = 15–90°, by angle:
(1 1 2), d 3.834, 2θ = 23.20°, I 488; (1 2 1), d 3.808, 2θ = 23.36°, I 1000; (2 0 2), d 3.313, 2θ = 26.91°, I 177; (2 2 2), d 2.699, 2θ = 33.20°, I 371; (3 1 2), d 2.497, 2θ = 35.97°, I 108; (4 0 0), d 2.326, 2θ = 38.71°, I 112; (1 1 4), d 2.221, 2θ = 40.63°, I 124; (3 0 3), d 2.208, 2θ = 40.86°, I 137; (4 1 1), d 2.195, 2θ = 41.13°, I 298; (4 0 4), d 1.656, 2θ = 55.48°, I 120

Cell and atoms:
```
data_Ca4Al6CrO16
_cell_length_a 9.3053
_cell_length_b 9.3053
_cell_length_c 9.4356
_cell_angle_alpha 90.00
_cell_angle_beta 90.00
_cell_angle_gamma 90.00
_space_group_name_H-M_alt 'I -4'
_space_group_IT_number 82
loop_
_space_group_symop_operation_xyz
'x,y,z'
'y,-x,-z'
'-x,-y,z'
'-y,x,-z'
'x+1/2,y+1/2,z+1/2'
'y+1/2,-x+1/2,-z+1/2'
'-x+1/2,-y+1/2,z+1/2'
'-y+1/2,x+1/2,-z+1/2'
loop_
_atom_site_label
_atom_site_type_symbol
_atom_site_fract_x
_atom_site_fract_y
_atom_site_fract_z
Ca1 Ca 0.2042 0.2228 0.2164
Al1 Al 0.0000 0.5000 0.2500
Al2 Al 0.0000 0.5000 0.7500
Al3 Al 0.0047 0.2510 0.5036
Cr1 Cr 0.0000 0.0000 0.0000
O1 O 0.0080 0.8537 0.1017
O2 O 0.0461 0.6513 0.3515
O3 O 0.0615 0.3470 0.6558
O4 O 0.1514 0.8442 0.5537
```